[1]
BaSrLiAu2: simulated powder diffractogram (Cu Kα X-rays), based on a crystal structure in Alexandria, relaxed with PBE.

```
data_BaSrLiAu2
_symmetry_space_group_name_H-M 'P 3 m 1'
_symmetry_Int_Tables_number 156
_cell_length_a 4.6281
_cell_length_b 4.6281
_cell_length_c 8.9663
_cell_angle_alpha 90.00
_cell_angle_beta 90.00
_cell_angle_gamma 120.00
loop_
_symmetry_equiv_pos_as_xyz
'x,y,z'
'-y,x-y,z'
'-x+y,-x,z'
'-y,-x,z'
'-x+y,y,z'
'x,x-y,z'
loop_
_atom_site_label
_atom_site_type_symbol
_atom_site_fract_x
_atom_site_fract_y
_atom_site_fract_z
_atom_site_occupancy
Ba1 Ba 0.0000 0.0000 0.0000 1
Sr1 Sr 0.3333 0.6667 0.5879 1
Li1 Li 0.6667 0.3333 0.3008 1
Au1 Au 0.3333 0.6667 0.2360 1
Au2 Au 0.6667 0.3333 0.7734 1
```

Peak list (10 most intense, 10° ≤ 2θ ≤ 90°, low angle first)
- 24.3 deg, intensity 100, (0 1 1)
- 29.9 deg, intensity 63, (0 1 2)
- 37.5 deg, intensity 57, (1 0 3)
- 38.9 deg, intensity 50, (1 1 0)
- 46.4 deg, intensity 21, (2 0 1)
- 49.8 deg, intensity 16, (2 0 2)
- 55.2 deg, intensity 19, (0 2 3)
- 57.2 deg, intensity 17, (1 1 4)
- 62.1 deg, intensity 17, (1 2 1)
- 69.6 deg, intensity 19, (2 1 3)


[2]
LiTlP2PbO: simulated powder diffractogram (Cu Kα X-rays), based on a crystal structure in Alexandria, relaxed with PBE.

```
data_LiTlP2PbO
_symmetry_space_group_name_H-M 'P 1 m 1'
_symmetry_Int_Tables_number 6
_cell_length_a 6.0434
_cell_length_b 3.3151
_cell_length_c 7.3082
_cell_angle_alpha 90.00
_cell_angle_beta 110.80
_cell_angle_gamma 90.00
loop_
_symmetry_equiv_pos_as_xyz
'x,y,z'
'x,-y,z'
loop_
_atom_site_label
_atom_site_type_symbol
_atom_site_fract_x
_atom_site_fract_y
_atom_site_fract_z
_atom_site_occupancy
Li1 Li 0.0000 0.0000 0.0000 1
Tl1 Tl 0.7954 0.5000 0.5271 1
P1 P 0.3954 0.0000 0.9471 1
P2 P 0.6373 0.5000 0.0938 1
Pb1 Pb 0.3075 0.0000 0.5486 1
O1 O 0.8639 0.5000 0.0319 1
```

Peak list (10 most intense, 10° ≤ 2θ ≤ 90°, low angle first)
- 13.0 deg, intensity 100, (0 0 1)
- 26.1 deg, intensity 44, (0 0 2)
- 29.6 deg, intensity 27, (2 0 -1)
- 31.3 deg, intensity 55, (1 1 0)
- 31.7 deg, intensity 56, (2 0 0)
- 36.2 deg, intensity 20, (1 1 1)
- 37.2 deg, intensity 28, (1 1 -2)
- 44.8 deg, intensity 21, (1 1 2)
- 46.3 deg, intensity 16, (1 1 -3)
- 62.2 deg, intensity 18, (0 2 2)


[3]
Tl5Hg4Bi2: simulated powder diffractogram (Cu Kα X-rays), based on a crystal structure in Alexandria, relaxed with PBE.

```
data_Tl5Hg4Bi2
_symmetry_space_group_name_H-M 'C 1 2/m 1'
_symmetry_Int_Tables_number 12
_cell_length_a 25.5636
_cell_length_b 4.1761
_cell_length_c 6.7659
_cell_angle_alpha 90.00
_cell_angle_beta 95.60
_cell_angle_gamma 90.00
loop_
_symmetry_equiv_pos_as_xyz
'x,y,z'
'-x,-y,-z'
'-x,y,-z'
'x,-y,z'
'x+1/2,y+1/2,z'
'-x+1/2,-y+1/2,-z'
'-x+1/2,y+1/2,-z'
'x+1/2,-y+1/2,z'
loop_
_atom_site_label
_atom_site_type_symbol
_atom_site_fract_x
_atom_site_fract_y
_atom_site_fract_z
_atom_site_occupancy
Tl1 Tl 0.0000 0.0000 0.0000 1
Tl2 Tl 0.1244 0.5000 0.9988 1
Tl3 Tl 0.1876 0.5000 0.4660 1
Hg1 Hg 0.0422 0.5000 0.3445 1
Hg2 Hg 0.0829 0.0000 0.6498 1
Bi1 Bi 0.2171 0.0000 0.8595 1
```

Peak list (10 most intense, 10° ≤ 2θ ≤ 90°, low angle first)
- 25.5 deg, intensity 26, (1 1 1)
- 29.9 deg, intensity 80, (8 0 -1)
- 31.5 deg, intensity 100, (5 1 1)
- 35.1 deg, intensity 70, (3 1 -2)
- 35.6 deg, intensity 20, (6 0 2)
- 40.1 deg, intensity 15, (2 0 -3)
- 43.3 deg, intensity 27, (0 2 0)
- 51.6 deg, intensity 24, (13 1 0)
- 53.5 deg, intensity 32, (8 2 -1)
- 61.3 deg, intensity 15, (3 1 4)


[4]
Rb2Na6Au3: simulated powder diffractogram (Cu Kα X-rays), based on a crystal structure in Alexandria, relaxed with PBE.

```
data_Rb2Na6Au3
_symmetry_space_group_name_H-M 'P -6 2 m'
_symmetry_Int_Tables_number 189
_symmetry_space_group_name_Hall 'P -6 -2'
_cell_length_a 9.2627
_cell_length_b 9.2627
_cell_length_c 5.0765
_cell_angle_alpha 90.00
_cell_angle_beta 90.00
_cell_angle_gamma 120.00
loop_
_atom_site_label
_atom_site_type_symbol
_atom_site_fract_x
_atom_site_fract_y
_atom_site_fract_z
_atom_site_occupancy
Rb1 Rb 0.3333 0.6667 0.0000 1
Na1 Na 0.0000 0.2151 0.0000 1
Na2 Na 0.0000 0.7071 0.5000 1
Au1 Au 0.0000 0.3794 0.5000 1
```

Peak list (10 most intense, 10° ≤ 2θ ≤ 90°, low angle first)
- 17.5 deg, intensity 20, (0 0 1)
- 19.2 deg, intensity 62, (1 1 0)
- 26.0 deg, intensity 100, (1 1 1)
- 28.4 deg, intensity 21, (2 0 1)
- 33.5 deg, intensity 34, (3 0 0)
- 34.5 deg, intensity 26, (2 1 1)
- 35.4 deg, intensity 18, (0 0 2)
- 40.5 deg, intensity 36, (1 1 2)
- 42.9 deg, intensity 19, (2 2 1)
- 49.5 deg, intensity 24, (3 0 2)


Copy entry 1 word for word.
BaSrLiAu2: simulated powder diffractogram (Cu Kα X-rays), based on a crystal structure in Alexandria, relaxed with PBE.

```
data_BaSrLiAu2
_symmetry_space_group_name_H-M 'P 3 m 1'
_symmetry_Int_Tables_number 156
_cell_length_a 4.6281
_cell_length_b 4.6281
_cell_length_c 8.9663
_cell_angle_alpha 90.00
_cell_angle_beta 90.00
_cell_angle_gamma 120.00
loop_
_symmetry_equiv_pos_as_xyz
'x,y,z'
'-y,x-y,z'
'-x+y,-x,z'
'-y,-x,z'
'-x+y,y,z'
'x,x-y,z'
loop_
_atom_site_label
_atom_site_type_symbol
_atom_site_fract_x
_atom_site_fract_y
_atom_site_fract_z
_atom_site_occupancy
Ba1 Ba 0.0000 0.0000 0.0000 1
Sr1 Sr 0.3333 0.6667 0.5879 1
Li1 Li 0.6667 0.3333 0.3008 1
Au1 Au 0.3333 0.6667 0.2360 1
Au2 Au 0.6667 0.3333 0.7734 1
```

Peak list (10 most intense, 10° ≤ 2θ ≤ 90°, low angle first)
- 24.3 deg, intensity 100, (0 1 1)
- 29.9 deg, intensity 63, (0 1 2)
- 37.5 deg, intensity 57, (1 0 3)
- 38.9 deg, intensity 50, (1 1 0)
- 46.4 deg, intensity 21, (2 0 1)
- 49.8 deg, intensity 16, (2 0 2)
- 55.2 deg, intensity 19, (0 2 3)
- 57.2 deg, intensity 17, (1 1 4)
- 62.1 deg, intensity 17, (1 2 1)
- 69.6 deg, intensity 19, (2 1 3)